1.
This entry pairs a crystal structure of Nd2Sm2C2I2Br2Cl with its theoretical powder diffractogram. Radiation: a wavelength of 1.5418 Å. Structure: a structure optimized by DFT (GGA-PBE).
No peak broadening, texture or thermal motion is included.

Atomic structure:
```
11
Lattice="10.0007 -1.9678 0.0000 10.0007 1.9678 0.0000 -1.9262 0.0000 7.9696" Properties=species:S:1:pos:R:3 pbc="T T T"
Nd -0.3790 0.0000 1.6520
Nd 18.4541 0.0000 6.3176
Sm 5.2512 0.0000 7.1874
Sm 12.8239 0.0000 0.7822
C 7.3981 0.0000 7.7903
C 10.6770 0.0000 0.1793
I 1.7978 0.0000 6.4779
I 16.2773 0.0000 1.4917
Br 2.4540 0.0000 2.8959
Br 15.6211 0.0000 5.0737
Cl 9.0376 0.0000 3.9848
```

Largest 10 diffraction maxima, sorted by position, 5° ≤ 2θ ≤ 70°:
2θ (°), Rel. int.
11.10, 52
23.06, 16
25.18, 17
27.52, 86
31.52, 100
32.40, 30
41.86, 32
42.80, 43
46.13, 20
54.56, 21



2.
This entry pairs a crystal structure of TaNbSe4 with its theoretical powder diffractogram. Radiation: a wavelength of 1.5418 Å. Structure: a structure optimized by DFT (GGA-PBE).
No peak broadening, texture or thermal motion is included.

Atomic structure:
```
6
Lattice="24.6346 0.0000 0.0000 0.0000 1.7323 3.0038 0.0000 -1.7323 3.0038" Properties=species:S:1:pos:R:3 pbc="T T T"
Ta 0.0000 0.0000 0.0000
Nb 12.3173 0.0000 3.0038
Se 1.6806 0.0000 2.0013
Se 10.6341 0.0000 5.0051
Se 14.0006 0.0000 5.0051
Se 22.9540 0.0000 2.0013
```

Largest 10 diffraction maxima, sorted by position, 5° ≤ 2θ ≤ 70°:
2θ (°), Rel. int.
7.18, 100
14.38, 5
29.99, 6
31.74, 4
35.01, 7
37.09, 4
39.46, 8
42.02, 4
44.81, 4
52.94, 4



3.
This entry pairs a crystal structure of Ba2Re6S11 with its theoretical powder diffractogram. Radiation: a wavelength of 1.5418 Å. Structure: a structure optimized by DFT (GGA-PBE).
No peak broadening, texture or thermal motion is included.

Atomic structure:
```
38
Lattice="4.6233 2.6692 10.7639 -4.6233 2.6692 10.7639 0.0000 -5.3385 10.7639" Properties=species:S:1:pos:R:3 pbc="T T T"
Ba 0.0000 0.0000 6.0828
Ba 0.0000 0.0000 10.0631
Ba 0.0000 0.0000 22.2287
Ba 0.0000 0.0000 26.2090
Re -0.9069 -4.1273 11.8517
Re -4.0278 -1.2782 20.4401
Re -3.1209 2.8491 11.8517
Re -0.9069 -1.2112 15.0581
Re -1.5024 0.1798 17.2337
Re -0.5955 1.3910 15.0581
Re 0.5955 -1.3910 17.2337
Re 1.5024 -0.1798 15.0581
Re 0.9069 1.2112 17.2337
Re 3.1209 -2.8491 20.4401
Re 4.0278 1.2782 11.8517
Re 0.9069 4.1273 20.4401
S -2.1541 -2.6692 13.4549
S -2.9405 0.4318 11.7401
S 0.0000 0.0000 2.9292
S -2.7791 0.3386 15.1697
S -1.6827 -2.2375 17.1221
S -3.3887 0.5309 18.8369
S -1.8442 -2.3307 20.5516
S 1.0963 -2.7625 11.7401
S 0.0000 0.0000 13.2167
S 1.0963 -2.5760 15.1697
S -1.2346 3.2002 13.4549
S 1.2346 -3.2002 18.8369
S -1.0963 2.5760 17.1221
S 0.0000 0.0000 19.0750
S -1.0963 2.7625 20.5517
S 1.8442 2.3307 11.7402
S 3.3887 -0.5309 13.4549
S 1.6827 2.2375 15.1697
S 2.7791 -0.3386 17.1221
S 0.0000 0.0000 29.3626
S 2.9405 -0.4318 20.5517
S 2.1541 2.6692 18.8369
```

Largest 10 diffraction maxima, sorted by position, 5° ≤ 2θ ≤ 70°:
2θ (°), Rel. int.
12.34, 100
15.59, 57
19.20, 23
30.04, 25
32.68, 15
35.47, 20
39.89, 14
40.71, 24
45.32, 14
46.75, 29



4.
This entry pairs a crystal structure of Sr2NbIrN4O2 with its theoretical powder diffractogram. Radiation: a wavelength of 1.5418 Å. Structure: a structure optimized by DFT (GGA-PBE).
No peak broadening, texture or thermal motion is included.

Atomic structure:
```
20
Lattice="5.6328 0.0000 0.0000 -0.0524 5.6433 0.0000 -0.0006 -0.0188 8.0852" Properties=species:S:1:pos:R:3 pbc="T T T"
Sr 0.0000 0.0000 0.0000
Sr 0.0826 0.0044 4.0424
Sr 2.7744 2.7734 0.0446
Sr 2.8887 2.7706 4.0779
Nb 0.0400 2.7699 6.0535
Nb 2.8484 5.5596 2.0682
Ir 2.7895 0.0295 6.2351
Ir 5.5831 2.8501 1.8753
N -0.0167 2.9406 8.0779
N 1.3765 1.3005 6.2028
N 1.4389 4.0328 2.1450
N 1.5604 4.1794 5.9601
N 2.8313 5.4582 0.0084
N 4.1163 1.4291 6.1783
N 4.2210 1.4916 1.9291
N 4.3038 4.2458 2.1306
O -0.0077 2.6019 4.0216
O 1.3079 1.2632 1.8344
O 2.7810 0.2081 4.0621
O 4.3322 4.3706 5.8909
```

Largest 10 diffraction maxima, sorted by position, 5° ≤ 2θ ≤ 70°:
2θ (°), Rel. int.
19.19, 31
31.44, 97
31.59, 99
31.74, 100
44.84, 27
45.28, 28
45.73, 28
56.01, 28
56.22, 20
56.58, 28



5.
This entry pairs a crystal structure of RbNi3Ge5 with its theoretical powder diffractogram. Radiation: a wavelength of 1.5418 Å. Structure: a structure optimized by DFT (GGA-PBE).
No peak broadening, texture or thermal motion is included.

Atomic structure:
```
9
Lattice="4.8853 0.0000 0.0000 -2.4427 4.2308 0.0000 0.0000 0.0000 8.8915" Properties=species:S:1:pos:R:3 pbc="T T T"
Rb 0.0000 0.0000 0.0000
Ni -1.2213 2.1154 4.4457
Ni 2.4427 0.0000 4.4457
Ni 1.2213 2.1154 4.4457
Ge 0.0000 0.0000 4.4457
Ge 0.0000 2.8205 2.3725
Ge 0.0000 2.8205 6.5190
Ge 2.4427 1.4103 2.3725
Ge 2.4427 1.4103 6.5190
```

Largest 10 diffraction maxima, sorted by position, 5° ≤ 2θ ≤ 70°:
2θ (°), Rel. int.
9.95, 100
23.28, 16
29.14, 62
36.79, 44
40.58, 28
42.21, 15
47.60, 66
53.20, 10
55.93, 22
61.64, 14



6.
This entry pairs a crystal structure of HPtI with its theoretical powder diffractogram. Radiation: a wavelength of 1.5418 Å. Structure: a structure optimized by DFT (GGA-PBE).
No peak broadening, texture or thermal motion is included.

Atomic structure:
```
6
Lattice="4.5220 0.0000 0.0000 0.0000 3.9559 0.0000 -2.1635 0.0000 8.1096" Properties=species:S:1:pos:R:3 pbc="T T T"
H 0.0000 0.9890 0.0000
H 0.0000 2.9669 0.0000
Pt -1.1245 0.0000 7.1615
Pt 1.0698 1.9780 0.9136
I -0.5395 1.9780 5.5120
I 1.7087 0.0000 2.5432
```

Largest 10 diffraction maxima, sorted by position, 5° ≤ 2θ ≤ 70°:
2θ (°), Rel. int.
10.91, 63
20.33, 97
20.45, 98
31.60, 100
34.27, 26
34.51, 24
40.41, 25
40.98, 49
41.32, 55
45.88, 22